# 1
Dy10Al4Ge11: computed XRD peak list (λ = 1.5418 Å (Cu Kα)), based on the GGA-PBE geometry in Alexandria.
Kinematic intensities with the Lorentz-polarization factor, no thermal factor.

Peak list (12 most intense, 10° ≤ 2θ ≤ 90°, in order of rising 2θ)
2θ (°)	I_rel
26.23	45.6
33.54	100.0
34.43	14.0
36.19	44.9
38.14	25.9
38.37	30.3
41.74	15.1
44.16	23.9
50.35	16.3
58.37	22.5
66.22	19.2
74.43	14.0

Atomic structure:
```
Dy10Al4Ge11
1.0
5.2837 -2.0508 0.0000
5.2837 2.0508 0.0000
-3.7489 0.0000 24.8217
Dy Al Ge
10 4 11
Cartesian
-0.3923 0.0000 3.8850
-0.0447 0.0000 11.0048
-0.3084 0.0000 18.8310
3.7572 0.0000 1.0511
2.9805 0.0000 8.8270
3.8380 0.0000 15.9948
3.0614 0.0000 23.7707
7.1269 0.0000 5.9908
6.8633 0.0000 13.8169
7.2109 0.0000 20.9367
-0.2187 0.0000 7.3787
-0.1449 0.0000 22.3518
6.9635 0.0000 2.4699
7.0373 0.0000 17.4430
0.7308 0.0000 1.0675
-0.6784 0.0000 13.9298
2.6320 0.0000 3.8640
0.8368 0.0000 16.0234
4.0847 0.0000 5.9965
3.4093 0.0000 12.4109
2.7338 0.0000 18.8252
5.9818 0.0000 8.7983
4.1866 0.0000 20.9578
7.4970 0.0000 10.8919
6.0878 0.0000 23.7543
```

=====

# 2
Dy3AlNi9Ge2: computed XRD peak list (λ = 1.5418 Å (Cu Kα)), based on the GGA-PBE geometry in Alexandria.
Kinematic intensities with the Lorentz-polarization factor, no thermal factor.

Peak list (12 most intense, 10° ≤ 2θ ≤ 90°, in order of rising 2θ)
2θ (°)	I_rel
10.31	37.5
20.71	19.2
27.08	36.8
30.12	47.9
31.28	22.4
36.50	70.8
40.94	100.0
45.85	18.4
47.57	18.3
51.65	32.4
55.84	23.5
62.61	24.9

Atomic structure:
```
Dy3AlNi9Ge2
1.0
5.9349 0.0000 0.0000
-2.9675 5.1398 0.0000
0.0000 0.0000 8.5782
Dy Al Ni Ge
3 1 9 2
Cartesian
0.0000 0.0000 0.0000
0.0000 3.4265 6.0204
2.9675 1.7133 2.5577
0.0000 0.0000 4.2891
-1.4837 2.5699 0.0000
0.0000 1.3704 2.3831
-1.7807 4.4546 2.3831
1.1868 0.6852 6.1951
2.9675 0.0000 0.0000
1.4837 2.5699 0.0000
1.7807 4.4546 2.3831
4.7482 0.6852 6.1951
2.9675 3.7694 6.1951
0.0000 3.4265 1.5814
2.9675 1.7133 6.9967
```

=====

# 3
PmDyAlGe: computed XRD peak list (λ = 1.5418 Å (Cu Kα)), based on the GGA-PBE geometry in Alexandria.
Kinematic intensities with the Lorentz-polarization factor, no thermal factor.

Peak list (12 most intense, 10° ≤ 2θ ≤ 90°, in order of rising 2θ)
2θ (°)	I_rel
21.67	15.3
27.23	39.3
30.99	100.0
31.57	47.0
32.30	27.3
38.75	38.8
39.36	14.6
40.88	23.5
44.64	18.3
49.82	15.3
51.31	15.8
55.70	18.9

Atomic structure:
```
PmDyAlGe
1.0
4.0601 0.0000 0.0000
0.0000 2.2073 5.5430
0.0000 -2.2073 5.5430
Pm Dy Al Ge
1 1 1 1
Cartesian
0.0000 0.0000 0.0000
2.0300 0.0000 7.9580
2.0300 0.0000 4.7534
0.0000 0.0000 3.1017
```